1.
Structure and calculated powder diffraction line list of K5Se3 (a DFT-relaxed cell (GGA-PBE, Alexandria); Cu Kα X-rays).
Kinematic intensities with the Lorentz-polarization factor, no thermal factor.

The 10 most intense peaks (2θ = 15–90°), in order of falling intensity:
two_theta	d_spacing	intensity
31.88	2.807	100
30.75	2.908	93
28.68	3.113	66
32.15	2.784	61
40.11	2.248	51
21.01	4.229	42
40.33	2.236	35
21.61	4.112	29
59.39	1.556	27
35.06	2.559	25

Structure:
```
K5Se3
1.0
-6.5017 6.5017 3.0809
6.5017 -6.5017 3.0809
6.5017 6.5017 -3.0809
K Se
10 6
direct
0.0879 0.2159 0.3039
0.2159 0.9121 0.1280
0.2500 0.7500 0.5000
0.2762 0.4073 0.6835
0.4073 0.7238 0.1311
0.5927 0.2762 0.8689
0.7238 0.5927 0.3165
0.7500 0.2500 0.5000
0.7841 0.0879 0.8720
0.9121 0.7841 0.6961
0.1527 0.6570 0.8097
0.3013 0.3013 0.0000
0.3430 0.1527 0.4957
0.6570 0.8473 0.5043
0.6987 0.6987 0.0000
0.8473 0.3430 0.1903
```

2.
Structure and calculated powder diffraction line list of KSe2 (a DFT-relaxed cell (GGA-PBE, Alexandria); Cu Kα X-rays).
Kinematic intensities with the Lorentz-polarization factor, no thermal factor.

The 10 most intense peaks (2θ = 15–90°), in order of falling intensity:
two_theta	d_spacing	intensity
27.70	3.221	100
20.19	4.398	52
18.76	4.729	34
30.83	2.900	31
31.38	2.851	30
45.66	1.987	30
39.33	2.291	25
37.45	2.401	24
41.04	2.199	23
53.15	1.723	21

Structure:
```
KSe2
1.0
4.6600 0.0000 0.0000
0.0000 4.3980 0.0000
-1.4541 0.0000 4.7292
K Se
1 2
direct
0.0000 0.0000 0.0000
0.2793 0.5000 0.5995
0.7207 0.5000 0.4005
```